# 1
Theoretical X-ray powder pattern of La2CrO6 for copper Kα, from a DFT-relaxed cell (PBE+U, the Materials Project).
Kinematic intensities with the Lorentz-polarization factor, no thermal factor.

Principal peaks in the range 2θ from 10° to 90°, by angle:
2θ = 22.84°, rel. 96
2θ = 31.42°, rel. 100
2θ = 33.58°, rel. 90
2θ = 39.20°, rel. 51
2θ = 46.65°, rel. 57
2θ = 57.33°, rel. 42

Structure:
Lattice parameters (Å, degrees): 5.3585 5.3585 5.3585 64.18 64.18 64.18
Sites, in units of the cell vectors:
La1 0.2454 0.2454 0.2454
La2 0.7546 0.7546 0.7546
Cr1 0.5000 0.5000 0.5000
O1 0.1885 0.3545 0.7104
O2 0.2896 0.8115 0.6455
O3 0.3545 0.7104 0.1885
O4 0.6455 0.2896 0.8115
O5 0.7104 0.1885 0.3545
O6 0.8115 0.6455 0.2896



# 2
Theoretical X-ray powder pattern of CaNdV4O12 for copper Kα, from a DFT-relaxed cell (PBE+U, the Materials Project).
Kinematic intensities with the Lorentz-polarization factor, no thermal factor.

Principal peaks in the range 2θ from 10° to 90°, by angle:
2θ = 16.67°, rel. 23
2θ = 20.45°, rel. 100
2θ = 33.67°, rel. 80
2θ = 33.76°, rel. 42
2θ = 39.67°, rel. 35
2θ = 60.19°, rel. 32

Structure:
Lattice parameters (Å, degrees): 7.5311 5.3169 5.3169 89.55 90.00 90.00
Sites, in units of the cell vectors:
Ca1 0.0000 0.0000 0.0000
Nd1 0.5000 0.5231 0.5231
V1 0.2460 0.0149 0.5110
V2 0.2460 0.5110 0.0149
V3 0.7540 0.0149 0.5110
V4 0.7540 0.5110 0.0149
O1 0.0000 0.0377 0.4761
O2 0.0000 0.4761 0.0377
O3 0.2242 0.7332 0.7332
O4 0.2492 0.2313 0.7833
O5 0.2492 0.7833 0.2313
O6 0.2806 0.2904 0.2904
O7 0.5000 0.5297 0.9759
O8 0.5000 0.9759 0.5297
O9 0.7194 0.2904 0.2904
O10 0.7508 0.2313 0.7833
O11 0.7508 0.7833 0.2313
O12 0.7758 0.7332 0.7332



# 3
Theoretical X-ray powder pattern of Sr2MgCuWO6 for copper Kα, from a DFT-relaxed cell (PBE+U, the Materials Project).
Kinematic intensities with the Lorentz-polarization factor, no thermal factor.

Principal peaks in the range 2θ from 10° to 90°, by angle:
2θ = 18.00°, rel. 48
2θ = 25.64°, rel. 48
2θ = 29.77°, rel. 62
2θ = 30.99°, rel. 100
2θ = 31.18°, rel. 51
2θ = 36.30°, rel. 50

Structure:
Lattice parameters (Å, degrees): 5.7239 5.8622 6.1512 100.21 108.12 117.57
Sites, in units of the cell vectors:
Sr1 0.0000 0.0000 0.0000
Sr2 0.2126 0.5760 0.6589
Mg1 0.4950 0.2185 0.5302
Cu1 0.6249 0.3095 0.0868
W1 0.6447 0.7947 0.3612
O1 0.0713 0.0730 0.4609
O2 0.2494 0.5056 0.2590
O3 0.4986 0.0176 0.1961
O4 0.6120 0.5998 0.0204
O5 0.6513 0.0139 0.6672
O6 0.7846 0.6079 0.5867



# 4
Theoretical X-ray powder pattern of MgFe6O10F2 for copper Kα, from a DFT-relaxed cell (PBE+U, the Materials Project).
Kinematic intensities with the Lorentz-polarization factor, no thermal factor.

Principal peaks in the range 2θ from 10° to 90°, by angle:
2θ = 22.77°, rel. 100
2θ = 27.28°, rel. 72
2θ = 35.20°, rel. 37
2θ = 35.38°, rel. 36
2θ = 53.58°, rel. 22
2θ = 56.27°, rel. 21

Structure:
Lattice parameters (Å, degrees): 5.0711 5.1161 8.8523 89.62 89.63 79.87
Sites, in units of the cell vectors:
Mg1 0.0000 0.0000 0.0000
Fe1 0.4779 0.0545 0.6752
Fe2 0.4839 0.0846 0.9995
Fe3 0.4912 0.0656 0.3404
Fe4 0.9067 0.4769 0.5050
Fe5 0.9115 0.4964 0.1796
Fe6 0.9121 0.4973 0.8285
O1 0.1430 0.3494 0.0118
O2 0.1506 0.3454 0.3330
O3 0.1585 0.3523 0.6698
O4 0.3054 0.9175 0.8515
O5 0.6569 0.2192 0.5077
O6 0.6882 0.2032 0.1626
O7 0.7072 0.2048 0.8446
O8 0.7463 0.7118 0.3344
O9 0.7536 0.7195 0.6685
O10 0.7743 0.7259 0.0089
F1 0.2789 0.8919 0.1619
F2 0.3023 0.8947 0.5022



# 5
Theoretical X-ray powder pattern of Sr2ZrMnO6 for copper Kα, from a DFT-relaxed cell (PBE+U, the Materials Project).
Kinematic intensities with the Lorentz-polarization factor, no thermal factor.

Principal peaks in the range 2θ from 10° to 90°, by angle:
2θ = 31.53°, rel. 100
2θ = 45.19°, rel. 37
2θ = 56.14°, rel. 38
2θ = 65.82°, rel. 21
2θ = 74.81°, rel. 17
2θ = 83.43°, rel. 7

Structure:
Lattice parameters (Å, degrees): 5.6756 5.6756 5.6756 60.00 60.00 60.00
Sites, in units of the cell vectors:
Sr1 0.2500 0.2500 0.2500
Sr2 0.7500 0.7500 0.7500
Zr1 0.0000 0.0000 0.0000
Mn1 0.5000 0.5000 0.5000
O1 0.2602 0.2602 0.7398
O2 0.2602 0.7398 0.2602
O3 0.2602 0.7398 0.7398
O4 0.7398 0.2602 0.2602
O5 0.7398 0.2602 0.7398
O6 0.7398 0.7398 0.2602



What is the formula in the fourth record?
MgFe6O10F2